# 1
Starting from a cell relaxed with GGA-PBE, the PXRD pattern of Cd5S4Cl2 was calculated for Cu Kα, 1.54184 Å.
Intensities are scaled so that the largest is 1000.

Most intense lines, 10° ≤ 2θ ≤ 90°, by angle:
d = 3.693 Å, I 1000; d = 3.666 Å, I 368; d = 3.279 Å, I 827; d = 3.244 Å, I 484; d = 3.193 Å, I 384; d = 2.138 Å, I 353; d = 2.122 Å, I 635; d = 1.896 Å, I 389; d = 1.808 Å, I 317; d = 1.791 Å, I 326

Structural model:
Unit cell a=7.7033 b=7.7033 c=10.0216 alpha=102.73 beta=102.73 gamma=32.22
Fractional coordinates of all 11 atoms:
Cd (0.0000, 0.0000, 0.0000)
Cd (0.0676, 0.0676, 0.6246)
Cd (0.3789, 0.3789, 0.2849)
Cd (0.6434, 0.6434, 0.3491)
Cd (0.7258, 0.7258, 0.9620)
S (0.1339, 0.1339, 0.8786)
S (0.5048, 0.5048, 0.1382)
S (0.5125, 0.5125, 0.5018)
S (0.7830, 0.7830, 0.2223)
Cl (0.2165, 0.2165, 0.4930)
Cl (0.8487, 0.8487, 0.8196)


# 2
Starting from a cell relaxed with GGA-PBE, the PXRD pattern of KTe2F11 was calculated for Cu Kα, 1.54184 Å.
Intensities are scaled so that the largest is 1000.

Most intense lines, 10° ≤ 2θ ≤ 90°, by angle:
d = 5.368 Å, I 567; d = 5.319 Å, I 293; d = 4.296 Å, I 712; d = 4.119 Å, I 1000; d = 3.778 Å, I 402; d = 2.791 Å, I 163; d = 2.232 Å, I 103; d = 2.197 Å, I 264; d = 2.154 Å, I 115; d = 1.791 Å, I 113

Structural model:
Unit cell a=9.0128 b=9.0128 c=10.6376 alpha=126.15 beta=126.15 gamma=66.07
Fractional coordinates of all 28 atoms:
K (0.0000, 0.0000, 0.0000)
K (0.5002, 0.4998, 0.5000)
Te (0.0448, 0.4554, 0.5359)
Te (0.3487, 0.1513, 0.9247)
Te (0.5446, 0.9552, 0.4641)
Te (0.8487, 0.6513, 0.0753)
F (0.0747, 0.6725, 0.2767)
F (0.0798, 0.6829, 0.7688)
F (0.1226, 0.1330, 0.8841)
F (0.2226, 0.5378, 0.5377)
F (0.2250, 0.2761, 0.7930)
F (0.3171, 0.9202, 0.2312)
F (0.3275, 0.9253, 0.7233)
F (0.3679, 0.3770, 0.1290)
F (0.3765, 0.1234, 0.5538)
F (0.4622, 0.7774, 0.4623)
F (0.4666, 0.0324, 0.0614)
F (0.5752, 0.1716, 0.9707)
F (0.5794, 0.1825, 0.4932)
F (0.6230, 0.6321, 0.8710)
F (0.7225, 0.0377, 0.7224)
F (0.7239, 0.7750, 0.2070)
F (0.8175, 0.4206, 0.5068)
F (0.8284, 0.4248, 0.0293)
F (0.8670, 0.8774, 0.1159)
F (0.8766, 0.6235, 0.4462)
F (0.9623, 0.2775, 0.2776)
F (0.9676, 0.5334, 0.9386)